# 1
For SrP2PdO7, a cell relaxed with PBE gives the theoretical X-ray diffraction stick pattern in this record (Cu Kα X-rays).
Peak positions follow from Bragg's law for the DFT cell and can differ from measured ones.

Atomic structure:
abc: 13.5589 6.1084 7.5059
angles: 90.00 90.00 90.00
Fractional coordinates of all 44 atoms:
1 Sr 0.2504 0.2500 0.2497
2 Sr 0.2496 0.7500 0.7497
3 Sr 0.7504 0.2500 0.2503
4 Sr 0.7496 0.7500 0.7503
5 P 0.1057 0.2500 0.6968
6 P 0.1071 0.7500 0.3015
7 P 0.3929 0.2500 0.8015
8 P 0.3943 0.7500 0.1968
9 P 0.6057 0.2500 0.8032
10 P 0.6071 0.7500 0.1985
11 P 0.8929 0.2500 0.6985
12 P 0.8943 0.7500 0.3032
13 Pd 0.0000 0.0000 0.0000
14 Pd 0.0000 0.5000 0.0000
15 Pd 0.5000 0.0000 0.5000
16 Pd 0.5000 0.5000 0.5000
17 O 0.0010 0.7500 0.4019
18 O 0.1089 0.0374 0.8120
19 O 0.1089 0.4626 0.8120
20 O 0.1099 0.5376 0.1861
21 O 0.1099 0.9624 0.1861
22 O 0.1849 0.2500 0.5582
23 O 0.1870 0.7500 0.4390
24 O 0.3130 0.2500 0.9390
25 O 0.3151 0.7500 0.0582
26 O 0.3901 0.0376 0.6861
27 O 0.3901 0.4624 0.6861
28 O 0.3911 0.5374 0.3120
29 O 0.3911 0.9626 0.3120
30 O 0.4990 0.2500 0.9019
31 O 0.5010 0.7500 0.0981
32 O 0.6089 0.0374 0.6880
33 O 0.6089 0.4626 0.6880
34 O 0.6099 0.5376 0.3139
35 O 0.6099 0.9624 0.3139
36 O 0.6849 0.2500 0.9418
37 O 0.6870 0.7500 0.0610
38 O 0.8130 0.2500 0.5610
39 O 0.8151 0.7500 0.4418
40 O 0.8901 0.0376 0.8139
41 O 0.8901 0.4624 0.8139
42 O 0.8911 0.5374 0.1880
43 O 0.8911 0.9626 0.1880
44 O 0.9990 0.2500 0.5981

Peak list (6 most intense, 15 to 90 degrees two-theta, in order of rising 2θ)
22.93°, I 1000; 27.16°, I 467; 32.14°, I 454; 32.33°, I 629; 32.48°, I 459; 46.93°, I 284

=====

# 2
For Tl2P4Pd3O14, a cell relaxed with PBE gives the theoretical X-ray diffraction stick pattern in this record (Cu Kα X-rays).
Peak positions follow from Bragg's law for the DFT cell and can differ from measured ones.

Atomic structure:
abc: 10.2286 10.2286 10.2286
angles: 120.64 90.65 118.62
Fractional coordinates of all 46 atoms:
1 Tl 0.2095 0.1929 0.0166
2 Tl 0.3237 0.8071 0.5166
3 Tl 0.6763 0.1929 0.4834
4 Tl 0.7905 0.8071 0.9834
5 P 0.1372 0.2674 0.4315
6 P 0.1372 0.7057 0.8698
7 P 0.3360 0.2674 0.6302
8 P 0.3360 0.7057 0.0685
9 P 0.6640 0.2943 0.9315
10 P 0.6640 0.7326 0.3698
11 P 0.8628 0.2943 0.1302
12 P 0.8628 0.7326 0.5685
13 Pd 0.0000 0.5000 0.5000
14 Pd 0.2090 0.9590 0.2500
15 Pd 0.5000 0.0000 0.0000
16 Pd 0.5000 0.5000 0.0000
17 Pd 0.5000 0.5000 0.5000
18 Pd 0.7910 0.0410 0.7500
19 O 0.0122 0.4447 0.2806
20 O 0.0122 0.7316 0.5674
21 O 0.0968 0.0867 0.2751
22 O 0.0968 0.8218 0.0102
23 O 0.1813 0.2626 0.5813
24 O 0.1813 0.6000 0.9187
25 O 0.2775 0.4440 0.4600
26 O 0.2775 0.8175 0.8335
27 O 0.3116 0.0867 0.4898
28 O 0.3116 0.8218 0.2249
29 O 0.3358 0.2684 0.7806
30 O 0.3358 0.5553 0.0674
31 O 0.4840 0.4440 0.6665
32 O 0.4840 0.8175 0.0400
33 O 0.5160 0.1825 0.9600
34 O 0.5160 0.5560 0.3335
35 O 0.6642 0.4447 0.9326
36 O 0.6642 0.7316 0.2194
37 O 0.6884 0.1782 0.7751
38 O 0.6884 0.9133 0.5102
39 O 0.7225 0.1825 0.1665
40 O 0.7225 0.5560 0.5400
41 O 0.8187 0.4000 0.0813
42 O 0.8187 0.7374 0.4187
43 O 0.9032 0.1782 0.9898
44 O 0.9032 0.9133 0.7249
45 O 0.9878 0.2684 0.4326
46 O 0.9878 0.5553 0.7194

Peak list (6 most intense, 15 to 90 degrees two-theta, in order of rising 2θ)
21.46°, I 1000; 27.04°, I 437; 27.49°, I 406; 29.85°, I 780; 30.49°, I 505; 39.23°, I 396

=====

# 3
For PmPr2PO8, a cell relaxed with PBE gives the theoretical X-ray diffraction stick pattern in this record (Cu Kα X-rays).
Peak positions follow from Bragg's law for the DFT cell and can differ from measured ones.

Atomic structure:
abc: 5.2633 5.2633 6.4060
angles: 90.00 90.00 120.00
Fractional coordinates of all 12 atoms:
1 Pm 0.0000 0.0000 0.0000
2 Pr 0.3333 0.6667 0.3616
3 Pr 0.6667 0.3333 0.6384
4 P 0.0000 0.0000 0.5000
5 O 0.1518 0.3036 0.6584
6 O 0.1518 0.8482 0.6584
7 O 0.3036 0.1518 0.3416
8 O 0.3333 0.6667 0.0233
9 O 0.6667 0.3333 0.9767
10 O 0.6964 0.8482 0.6584
11 O 0.8482 0.1518 0.3416
12 O 0.8482 0.6964 0.3416

Peak list (6 most intense, 15 to 90 degrees two-theta, in order of rising 2θ)
23.96°, I 1000; 34.07°, I 739; 34.22°, I 513; 42.08°, I 436; 49.06°, I 326; 61.04°, I 333